1.
# Li2FeCo3O8
Computed X-ray diffraction stick pattern, Cu Kα, 1.54184 Å. Input: DFT lattice parameters and positions (GGA+U).

Largest 12 diffraction maxima, in order of rising 2θ, 10° ≤ 2θ ≤ 80°:
Position (°2θ)	Rel. int.
18.09	100
36.11	11
36.35	22
37.98	6
43.63	53
47.77	7
57.10	10
57.23	5
62.21	5
62.80	9
64.00	10
64.62	5

```
data_Li2FeCo3O8
_cell_length_a 5.820
_cell_length_b 5.820
_cell_length_c 5.971
_cell_angle_alpha 119.71
_cell_angle_beta 119.71
_cell_angle_gamma 59.43
_space_group_name_H-M_alt 'P 1'
_space_group_IT_number 1
_space_group_name_Hall 'P 1'
loop_
_atom_site_label
_atom_site_fract_x
_atom_site_fract_y
_atom_site_fract_z
Li1 0.000 0.000 0.000
Li2 0.500 0.500 0.000
Fe1 0.000 0.000 0.500
Co1 0.000 0.500 0.500
Co2 0.500 0.000 0.500
Co3 0.500 0.500 0.500
O1 0.230 0.725 0.713
O2 0.245 0.245 0.701
O3 0.256 0.256 0.298
O4 0.275 0.770 0.287
O5 0.725 0.230 0.713
O6 0.744 0.744 0.702
O7 0.755 0.755 0.299
O8 0.770 0.275 0.287
```

2.
# Li9Mn2Co5O16
Computed X-ray diffraction stick pattern, Cu Kα, 1.54184 Å. Input: DFT lattice parameters and positions (GGA+U).

Largest 12 diffraction maxima, in order of rising 2θ, 10° ≤ 2θ ≤ 80°:
Position (°2θ)	Rel. int.
18.44	100
36.07	28
36.16	14
37.73	12
43.70	55
43.84	28
47.85	14
57.65	9
63.28	8
63.37	15
63.87	15
67.02	9

```
data_Li9Mn2Co5O16
_cell_length_a 5.046
_cell_length_b 11.680
_cell_length_c 5.093
_cell_angle_alpha 90.00
_cell_angle_beta 109.13
_cell_angle_gamma 90.00
_space_group_name_H-M_alt 'P 1'
_space_group_IT_number 1
_space_group_name_Hall 'P 1'
loop_
_atom_site_label
_atom_site_fract_x
_atom_site_fract_y
_atom_site_fract_z
Li1 0.000 0.000 0.000
Li2 0.000 0.119 0.500
Li3 0.000 0.383 0.500
Li4 0.000 0.630 0.500
Li5 0.000 0.877 0.500
Li6 0.500 0.251 0.500
Li7 0.500 0.505 0.500
Li8 0.500 0.757 0.500
Li9 0.500 0.996 0.500
Mn1 0.000 0.251 0.000
Mn2 0.500 0.125 0.000
Co1 0.000 0.501 0.000
Co2 0.000 0.758 0.000
Co3 0.500 0.380 0.000
Co4 0.500 0.630 0.000
Co5 0.500 0.879 0.000
O1 0.221 0.378 0.226
O2 0.229 0.618 0.220
O3 0.237 0.505 0.773
O4 0.246 0.246 0.776
O5 0.252 0.139 0.221
O6 0.252 0.871 0.229
O7 0.256 0.748 0.763
O8 0.277 0.010 0.766
O9 0.723 0.010 0.234
O10 0.744 0.748 0.237
O11 0.748 0.139 0.779
O12 0.748 0.871 0.771
O13 0.754 0.246 0.224
O14 0.763 0.505 0.227
O15 0.771 0.618 0.780
O16 0.779 0.378 0.774
```

3.
# MgMn2Cu2O8
Computed X-ray diffraction stick pattern, Cu Kα, 1.54184 Å. Input: DFT lattice parameters and positions (GGA+U).

Largest 12 diffraction maxima, in order of rising 2θ, 10° ≤ 2θ ≤ 80°:
Position (°2θ)	Rel. int.
17.47	17
20.34	23
21.46	26
23.01	36
26.68	52
29.73	26
30.04	87
30.80	100
33.33	32
34.29	39
35.87	19
38.57	18

```
data_MgMn2Cu2O8
_cell_length_a 6.424
_cell_length_b 8.280
_cell_length_c 11.899
_cell_angle_alpha 90.00
_cell_angle_beta 90.17
_cell_angle_gamma 90.00
_space_group_name_H-M_alt 'P 1'
_space_group_IT_number 1
_space_group_name_Hall 'P 1'
loop_
_atom_site_label
_atom_site_fract_x
_atom_site_fract_y
_atom_site_fract_z
Mg1 0.113 0.165 0.049
Mg2 0.113 0.335 0.549
Mg3 0.887 0.665 0.451
Mg4 0.887 0.835 0.951
Mn1 0.099 0.038 0.345
Mn2 0.099 0.462 0.845
Mn3 0.388 0.590 0.368
Mn4 0.388 0.910 0.868
Mn5 0.612 0.090 0.132
Mn6 0.612 0.410 0.632
Mn7 0.901 0.538 0.155
Mn8 0.901 0.962 0.655
Cu1 0.236 0.676 0.635
Cu2 0.236 0.824 0.135
Cu3 0.387 0.056 0.634
Cu4 0.387 0.444 0.134
Cu5 0.613 0.556 0.866
Cu6 0.613 0.944 0.366
Cu7 0.764 0.176 0.865
Cu8 0.764 0.324 0.365
O1 0.034 0.229 0.394
O2 0.034 0.271 0.894
O3 0.087 0.104 0.617
O4 0.087 0.396 0.117
O5 0.123 0.035 0.201
O6 0.123 0.465 0.701
O7 0.189 0.574 0.470
O8 0.189 0.926 0.970
O9 0.320 0.631 0.229
O10 0.320 0.869 0.729
O11 0.329 0.513 0.907
O12 0.329 0.987 0.407
O13 0.419 0.218 0.086
O14 0.419 0.282 0.586
O15 0.487 0.101 0.860
O16 0.487 0.399 0.360
O17 0.513 0.601 0.640
O18 0.513 0.899 0.140
O19 0.581 0.718 0.414
O20 0.581 0.782 0.914
O21 0.671 0.013 0.593
O22 0.671 0.487 0.093
O23 0.680 0.131 0.271
O24 0.680 0.369 0.771
O25 0.811 0.074 0.030
O26 0.811 0.426 0.530
O27 0.877 0.535 0.299
O28 0.877 0.965 0.799
O29 0.913 0.604 0.883
O30 0.913 0.896 0.383
O31 0.966 0.729 0.106
O32 0.966 0.771 0.606
```